This entry pairs a crystal structure of Na2ZrMo3O12 with its theoretical XRD peak list. Radiation: Cu Ka. Structure: a cell relaxed with GGA+U.
Peak positions follow from Bragg's law for the DFT cell and can differ from measured ones.

Peak list (10 most intense, 15° ≤ 2θ ≤ 90°, in order of rising 2θ)
2theta  intensity  index
18.2  30.8  3 1 0
19.2  17.1  1 1 -1
27.6  100.0  2 2 1
29.7  80.5  4 2 -1
30.0  19.0  0 4 0
33.5  13.4  6 0 0
45.6  20.6  6 4 0
47.2  17.5  4 0 2
47.5  23.9  2 4 -2
55.1  16.1  8 2 1

Structure:
Lattice parameters (Å, degrees): 16.4153 11.9248 5.0243 90.00 102.07 90.00
Space group C2/c (No. 15)
Inequivalent atoms, fractional coordinates:
Na 0.1563 0.1115 0.3954 (multiplicity 8)
Zr 0.0000 0.3744 0.2500 (multiplicity 4)
Mo 0.0000 0.1553 0.7500 (multiplicity 4)
Mo 0.1661 0.4061 0.9012 (multiplicity 8)
O 0.0509 0.2315 0.5064 (multiplicity 8)
O 0.0777 0.4601 0.5944 (multiplicity 8)
O 0.0788 0.0681 0.9343 (multiplicity 8)
O 0.0968 0.3169 0.0547 (multiplicity 8)
O 0.2247 0.3109 0.7622 (multiplicity 8)
O 0.2299 0.4607 0.2232 (multiplicity 8)